# RbBi2O6
Theoretical powder X-ray diffraction pattern, CuKα. Input: the PBE geometry in Alexandria.
No peak broadening, texture or thermal motion is included.

Structure:
abc: 7.0409 7.0409 3.1139
angles: 90.00 90.00 120.00
Atoms (fractional coordinates):
Rb  0.0000  0.0000  0.0000
Bi  0.3333  0.6667  0.2421
Bi  0.6667  0.3333  0.7579
O  0.1248  0.4335  0.7406
O  0.3087  0.8752  0.7406
O  0.4335  0.3087  0.2594
O  0.5665  0.6913  0.7406
O  0.6913  0.1248  0.2594
O  0.8752  0.5665  0.2594

Most intense lines, 2θ from 10° to 90°, most intense first:
(hkl)  two_theta  intensity
1 1 0  25.3  1000
0 1 1  32.3  498
3 -2 1  49.2  457
2 0 1  41.4  385
1 0 0  14.5  296
3 0 0  44.6  242
4 -1 1  62.5  192
4 1 0  70.8  149
2 2 0  51.9  142
2 3 1  74.3  131